For MgTiZnBi2O6, a structure optimized by DFT (GGA-PBE) gives the computed powder X-ray diffraction pattern in this record (λ = 1.5418 Å (Cu Kα)).
Peak positions follow from Bragg's law for the DFT cell and can differ from measured ones.

Cell and atoms:
```
data_MgTiZnBi2O6
_chemical_formula_sum 'Mg2 Ti2 Zn2 Bi4 O12'
_symmetry_space_group_name_H-M 'C 1 m 1'
_symmetry_Int_Tables_number 8
_cell_length_a 5.5913
_cell_length_b 5.4654
_cell_length_c 10.9859
_cell_angle_alpha 90.00
_cell_angle_beta 94.15
_cell_angle_gamma 90.00
loop_
_symmetry_equiv_pos_as_xyz
'x,y,z'
'x,-y,z'
'x+1/2,y+1/2,z'
'x+1/2,-y+1/2,z'
loop_
_atom_site_label
_atom_site_type_symbol
_atom_site_fract_x
_atom_site_fract_y
_atom_site_fract_z
Mg1 Mg 0.0000 0.0000 0.0000
Ti1 Ti 0.3957 0.0000 0.5108
Zn1 Zn 0.4786 0.0000 0.9100
Bi1 Bi 0.0213 0.0000 0.2915
Bi2 Bi 0.3584 0.5000 0.6974
O1 O 0.1996 0.2648 0.5442
O2 O 0.2405 0.2532 0.9495
O3 O 0.4284 0.0000 0.3336
O4 O 0.4749 0.0000 0.7133
```

Top 10 peaks for 15° ≤ 2θ ≤ 90°, by angle:
| 2theta | I (rel.) | (hkl) |
| --- | --- | --- |
| 16.18 | 37 | 0 0 2 |
| 22.78 | 44 | 1 1 0 |
| 24.37 | 44 | 0 0 3 |
| 24.60 | 58 | 1 1 1 |
| 27.37 | 100 | 1 1 -2 |
| 32.75 | 72 | 0 2 0 |
| 34.47 | 58 | 1 1 3 |
| 39.21 | 29 | 1 1 -4 |
| 41.22 | 46 | 0 0 5 |
| 46.52 | 29 | 2 2 0 |


For MgTiZnBi2O6, a structure optimized by DFT (GGA-PBE) gives the computed powder X-ray diffraction pattern in this record (λ = 1.5418 Å (Cu Kα)).
Peak positions follow from Bragg's law for the DFT cell and can differ from measured ones.

Cell and atoms:
```
data_MgTiZnBi2O6
_chemical_formula_sum 'Mg1 Ti1 Zn1 Bi2 O6'
_symmetry_space_group_name_H-M 'P m m 2'
_symmetry_Int_Tables_number 25
_cell_length_a 3.7266
_cell_length_b 3.8667
_cell_length_c 12.8020
_cell_angle_alpha 90.00
_cell_angle_beta 90.00
_cell_angle_gamma 90.00
loop_
_symmetry_equiv_pos_as_xyz
'x,y,z'
'-x,-y,z'
'-x,y,z'
'x,-y,z'
loop_
_atom_site_label
_atom_site_type_symbol
_atom_site_fract_x
_atom_site_fract_y
_atom_site_fract_z
Mg1 Mg 0.0000 0.0000 0.0000
Ti1 Ti 0.5000 0.0000 0.3964
Zn1 Zn 0.5000 0.0000 0.8049
Bi1 Bi 0.0000 0.5000 0.2192
Bi2 Bi 0.0000 0.5000 0.6462
O1 O 0.0000 0.0000 0.3499
O2 O 0.0000 0.0000 0.7374
O3 O 0.5000 0.0000 0.5295
O4 O 0.5000 0.0000 0.9594
O5 O 0.5000 0.5000 0.3368
O6 O 0.5000 0.5000 0.7403
```

Top 10 peaks for 15° ≤ 2θ ≤ 90°, by angle:
| 2theta | I (rel.) | (hkl) |
| --- | --- | --- |
| 23.88 | 25 | 1 0 0 |
| 26.94 | 100 | 0 1 2 |
| 27.70 | 81 | 1 0 2 |
| 31.22 | 36 | 0 1 3 |
| 31.88 | 37 | 1 0 3 |
| 33.39 | 62 | 1 1 0 |
| 36.30 | 45 | 1 1 2 |
| 49.20 | 53 | 1 1 5 |
| 56.69 | 25 | 2 1 2 |
| 61.33 | 36 | 1 1 7 |


For MgTiZnBi2O6, a structure optimized by DFT (GGA-PBE) gives the computed powder X-ray diffraction pattern in this record (λ = 1.5418 Å (Cu Kα)).
Peak positions follow from Bragg's law for the DFT cell and can differ from measured ones.

Cell and atoms:
```
data_MgTiZnBi2O6
_chemical_formula_sum 'Mg2 Ti2 Zn2 Bi4 O12'
_symmetry_space_group_name_H-M 'A m m 2'
_symmetry_Int_Tables_number 38
_cell_length_a 6.8056
_cell_length_b 6.2162
_cell_length_c 9.1605
_cell_angle_alpha 90.00
_cell_angle_beta 90.00
_cell_angle_gamma 90.00
loop_
_symmetry_equiv_pos_as_xyz
'x,y,z'
'-x,-y,z'
'-x,y,z'
'x,-y,z'
'x,y+1/2,z+1/2'
'-x,-y+1/2,z+1/2'
'-x,y+1/2,z+1/2'
'x,-y+1/2,z+1/2'
loop_
_atom_site_label
_atom_site_type_symbol
_atom_site_fract_x
_atom_site_fract_y
_atom_site_fract_z
Mg1 Mg 0.0000 0.0000 0.0000
Ti1 Ti 0.5000 0.0000 0.3168
Zn1 Zn 0.0000 0.0000 0.3138
Bi1 Bi 0.2380 0.0000 0.6879
O1 O 0.0000 0.2296 0.1472
O2 O 0.2599 0.0000 0.4173
O3 O 0.5000 0.2417 0.2048
```

Top 10 peaks for 15° ≤ 2θ ≤ 90°, by angle:
| 2theta | I (rel.) | (hkl) |
| --- | --- | --- |
| 17.24 | 85 | 0 1 1 |
| 19.38 | 60 | 0 0 2 |
| 28.72 | 34 | 0 2 0 |
| 31.52 | 100 | 2 1 1 |
| 32.67 | 52 | 0 1 3 |
| 32.79 | 21 | 2 0 2 |
| 39.29 | 22 | 0 0 4 |
| 44.14 | 35 | 2 2 2 |
| 52.67 | 22 | 2 3 1 |
| 56.79 | 26 | 2 2 4 |


For MgTiZnBi2O6, a structure optimized by DFT (GGA-PBE) gives the computed powder X-ray diffraction pattern in this record (λ = 1.5418 Å (Cu Kα)).
Peak positions follow from Bragg's law for the DFT cell and can differ from measured ones.

Cell and atoms:
```
data_MgTiZnBi2O6
_chemical_formula_sum 'Mg1 Ti1 Zn1 Bi2 O6'
_symmetry_space_group_name_H-M 'P m m 2'
_symmetry_Int_Tables_number 25
_cell_length_a 3.5935
_cell_length_b 3.9470
_cell_length_c 11.5879
_cell_angle_alpha 90.00
_cell_angle_beta 90.00
_cell_angle_gamma 90.00
loop_
_symmetry_equiv_pos_as_xyz
'x,y,z'
'-x,-y,z'
'-x,y,z'
'x,-y,z'
loop_
_atom_site_label
_atom_site_type_symbol
_atom_site_fract_x
_atom_site_fract_y
_atom_site_fract_z
Mg1 Mg 0.0000 0.0000 0.0000
Ti1 Ti 0.0000 0.5000 0.1823
Zn1 Zn 0.0000 0.5000 0.5624
Bi1 Bi 0.5000 0.0000 0.3776
Bi2 Bi 0.5000 0.0000 0.7616
O1 O 0.0000 0.0000 0.1761
O2 O 0.0000 0.0000 0.5269
O3 O 0.0000 0.5000 0.0167
O4 O 0.0000 0.5000 0.3779
O5 O 0.5000 0.5000 0.2253
O6 O 0.5000 0.5000 0.6668
```

Top 10 peaks for 15° ≤ 2θ ≤ 90°, by angle:
| 2theta | I (rel.) | (hkl) |
| --- | --- | --- |
| 15.29 | 46 | 0 0 2 |
| 22.53 | 41 | 0 1 0 |
| 27.34 | 83 | 0 1 2 |
| 29.24 | 100 | 1 0 2 |
| 32.43 | 82 | 0 1 3 |
| 33.73 | 86 | 1 1 0 |
| 34.08 | 73 | 1 0 3 |
| 37.23 | 41 | 1 1 2 |
| 41.24 | 46 | 1 1 3 |
| 52.38 | 59 | 1 1 5 |